Diffraction record for MnAsIrO6. The XRD peak list is calculated, not measured: it uses a cell relaxed with PBE+U and a wavelength of 1.5418 Å.

a b c (Å): 5.072 5.072 9.161
angles (deg): 90.00 90.00 120.00
Fractional positions:
1 Mn 0.000 0.000 0.000
2 Mn 0.000 0.000 0.500
3 As 0.333 0.667 0.250
4 As 0.667 0.333 0.750
5 Ir 0.333 0.667 0.750
6 Ir 0.667 0.333 0.250
7 O 0.014 0.365 0.137
8 O 0.014 0.649 0.363
9 O 0.351 0.365 0.363
10 O 0.351 0.986 0.137
11 O 0.365 0.014 0.637
12 O 0.365 0.351 0.863
13 O 0.635 0.649 0.137
14 O 0.635 0.986 0.363
15 O 0.649 0.014 0.863
16 O 0.649 0.635 0.637
17 O 0.986 0.351 0.637
18 O 0.986 0.635 0.863

Main lines, in order of rising 2θ (5 to 70 degrees two-theta):
two_theta, I/Imax
19.4, 56.8
22.4, 39.2
28.1, 100.0
35.4, 56.0
40.7, 48.8
53.9, 57.9